Mg16Al12Au: computed XRD peak list (Cu Kα (weighted mean of Kα1 and Kα2)), based on a GGA-PBE-relaxed structure.

a b c (Å): 10.4961 14.7339 9.0755
angles (deg): 90.00 124.85 90.00
Space group Cm (No. 8)
Unique sites:
1 Mg 0.0000 0.0000 0.0000 x2
2 Mg 0.0070 0.0000 0.3485 x2
3 Mg 0.0614 0.3452 0.4050 x4
4 Mg 0.1317 0.5000 0.6685 x2
5 Mg 0.1565 0.1594 0.6028 x4
6 Mg 0.1776 0.1752 0.9980 x4
7 Mg 0.1945 0.5000 0.2976 x2
8 Mg 0.3036 0.2988 0.3229 x4
9 Mg 0.4608 0.1300 0.9936 x4
10 Mg 0.4877 0.1908 0.6908 x4
11 Al 0.0092 0.1879 0.1903 x4
12 Al 0.1837 0.0000 0.8167 x2
13 Al 0.2398 0.4084 0.0167 x4
14 Al 0.2758 0.0932 0.3641 x4
15 Al 0.3220 0.3141 0.8228 x4
16 Al 0.3666 0.0000 0.1784 x2
17 Al 0.4082 0.4069 0.6408 x4
18 Au 0.3359 0.0000 0.6596 x2

Largest 8 diffraction maxima, by angle, 10° ≤ 2θ ≤ 90°:
2theta	intensity	index
11.93	100.0	1 1 0
12.01	24.6	0 2 0
16.92	28.4	0 2 1
20.79	42.7	1 3 0
26.85	28.1	0 2 2
36.22	66.9	3 3 0
36.39	51.4	4 2 -2
36.49	52.7	1 5 -2



PrMgAl2Au5: computed XRD peak list (Cu Kα (weighted mean of Kα1 and Kα2)), based on a GGA-PBE-relaxed structure.

a b c (Å): 4.8694 4.8694 7.9474
angles (deg): 90.00 90.00 90.00
Space group P4/mmm (No. 123)
Unique sites:
1 Pr 0.0000 0.0000 0.0000 x1
2 Mg 0.0000 0.0000 0.5000 x1
3 Al 0.5000 0.5000 0.3393 x2
4 Au 0.0000 0.5000 0.2502 x4
5 Au 0.5000 0.5000 0.0000 x1

Largest 8 diffraction maxima, by angle, 10° ≤ 2θ ≤ 90°:
2theta	intensity	index
11.13	20.9	0 0 1
34.47	100.0	1 1 2
36.92	47.5	2 0 0
53.21	21.7	2 2 0
60.11	22.4	2 0 4
64.95	32.5	3 1 2
72.67	11.6	2 2 4
77.16	11.4	1 1 6



SmMg2AlAu4: computed XRD peak list (Cu Kα (weighted mean of Kα1 and Kα2)), based on a GGA-PBE-relaxed structure.

a b c (Å): 4.5880 4.5880 26.0174
angles (deg): 90.00 90.00 120.00
Space group R-3m (No. 166, hexagonal axes)
Unique sites:
1 Sm 0.0000 0.0000 0.0000 x3
2 Mg 0.0000 0.0000 0.2419 x6
3 Al 0.0000 0.0000 0.5000 x3
4 Au 0.0000 0.0000 0.1314 x6
5 Au 0.0000 0.0000 0.3954 x6

Largest 8 diffraction maxima, by angle, 10° ≤ 2θ ≤ 90°:
2theta	intensity	index
26.28	69.4	1 0 4
28.26	21.7	0 1 5
33.00	37.6	1 0 7
35.68	80.8	0 1 8
39.27	100.0	1 1 0
54.09	24.7	2 0 8
67.73	27.8	1 1 15
68.86	24.1	1 2 8



YMg2AlAu2: computed XRD peak list (Cu Kα (weighted mean of Kα1 and Kα2)), based on a GGA-PBE-relaxed structure.

a b c (Å): 5.2394 5.2394 10.8219
angles (deg): 90.00 90.00 90.00
Space group I4/mmm (No. 139)
Unique sites:
1 Y 0.0000 0.0000 0.0000 x2
2 Mg 0.0000 0.5000 0.2500 x4
3 Al 0.0000 0.0000 0.5000 x2
4 Au 0.0000 0.0000 0.2731 x4

Largest 8 diffraction maxima, by angle, 10° ≤ 2θ ≤ 90°:
2theta	intensity	index
16.38	53.5	0 0 2
24.02	100.0	1 1 0
30.08	28.5	1 0 3
33.11	26.3	0 0 4
34.23	61.3	2 0 0
38.17	28.3	2 0 2
41.32	36.3	1 1 4
48.36	36.3	2 0 4



Mg2AlZn2Au5: computed XRD peak list (Cu Kα (weighted mean of Kα1 and Kα2)), based on a GGA-PBE-relaxed structure.

a b c (Å): 10.6214 10.6214 3.2286
angles (deg): 90.00 90.00 90.00
Space group P4/mbm (No. 127)
Unique sites:
1 Mg 0.1552 0.3448 0.0000 x4
2 Al 0.0000 0.0000 0.0000 x2
3 Zn 0.1380 0.6380 0.0000 x4
4 Au 0.0000 0.5000 0.5000 x2
5 Au 0.1240 0.8399 0.5000 x8

Largest 8 diffraction maxima, by angle, 10° ≤ 2θ ≤ 90°:
2theta	intensity	index
26.54	54.5	3 1 0
27.63	30.4	0 0 1
33.75	22.2	4 0 0
37.88	16.7	4 2 0
38.68	100.0	3 1 1
45.87	12.0	3 3 1
48.48	17.8	4 4 0
74.05	18.8	7 3 1



MnAl2Au8: computed XRD peak list (Cu Kα (weighted mean of Kα1 and Kα2)), based on a GGA-PBE-relaxed structure.

a b c (Å): 4.9114 6.1330 7.4773
angles (deg): 109.31 107.91 97.36
Space group P-1 (No. 2)
Unique sites:
1 Mn 0.0000 0.0000 0.0000 x1
2 Al 0.2580 0.3756 0.6736 x2
3 Au 0.1805 0.9586 0.3773 x2
4 Au 0.2173 0.4445 0.3356 x2
5 Au 0.2959 0.6433 0.0418 x2
6 Au 0.3713 0.8622 0.7648 x2

Largest 8 diffraction maxima, by angle, 10° ≤ 2θ ≤ 90°:
2theta	intensity	index
37.20	42.3	1 1 1
37.56	59.7	1 2 -2
37.89	100.0	-1 2 1
38.54	37.3	1 0 -3
39.02	29.1	2 -1 0
39.75	68.3	1 -2 2
39.91	27.3	2 0 0
41.38	25.6	0 0 3



Mn3AlAu8: computed XRD peak list (Cu Kα (weighted mean of Kα1 and Kα2)), based on a GGA-PBE-relaxed structure.

a b c (Å): 8.7579 8.8886 12.0941
angles (deg): 90.00 90.00 90.00
Space group Fmmm (No. 69)
Unique sites:
1 Mn 0.0000 0.0000 0.0000 x4
2 Mn 0.2500 0.2500 0.2500 x8
3 Al 0.0000 0.0000 0.5000 x4
4 Au 0.0000 0.2461 0.3779 x16
5 Au 0.2456 0.0000 0.3754 x16

Largest 8 diffraction maxima, by angle, 10° ≤ 2θ ≤ 90°:
2theta	intensity	index
28.62	81.5	2 2 0
29.54	37.7	0 0 4
40.60	26.8	0 4 0
41.23	25.6	4 0 0
41.60	100.0	2 2 4
59.25	17.6	4 4 0
67.57	22.6	6 2 0
74.55	18.0	2 6 4



PaAlAu2N: computed XRD peak list (Cu Kα (weighted mean of Kα1 and Kα2)), based on a GGA-PBE-relaxed structure.

a b c (Å): 3.7512 3.7512 12.8645
angles (deg): 90.00 90.00 90.00
Space group P4/nmm (No. 129, origin choice 2)
Unique sites:
1 Pa 0.2500 0.2500 0.0969 x2
2 Al 0.2500 0.2500 0.5666 x2
3 Au 0.2500 0.2500 0.3669 x2
4 Au 0.2500 0.2500 0.7674 x2
5 N 0.2500 0.7500 0.0000 x2

Largest 8 diffraction maxima, by angle, 10° ≤ 2θ ≤ 90°:
2theta	intensity	index
31.69	100.0	1 0 3
33.79	69.2	1 1 0
36.81	24.1	1 0 4
42.61	21.4	1 0 5
48.54	27.5	2 0 0
59.14	35.2	2 1 3
66.54	11.6	2 1 5
81.07	12.1	3 1 0



AlSi2AuN: computed XRD peak list (Cu Kα (weighted mean of Kα1 and Kα2)), based on a GGA-PBE-relaxed structure.

a b c (Å): 4.7618 4.7618 4.8786
angles (deg): 90.00 90.00 90.00
Space group P4/mmm (No. 123)
Unique sites:
1 Al 0.0000 0.0000 0.0000 x1
2 Si 0.0000 0.5000 0.0000 x2
3 Au 0.0000 0.0000 0.5000 x1
4 N 0.5000 0.5000 0.5000 x1

Largest 8 diffraction maxima, by angle, 10° ≤ 2θ ≤ 90°:
2theta	intensity	index
18.63	100.0	1 0 0
26.15	48.8	1 0 1
26.47	32.3	1 1 0
32.30	70.5	1 1 1
37.78	34.3	2 0 0
41.60	27.3	1 0 2
42.45	25.8	2 1 0
53.80	24.3	2 0 2



Na4AlAu2: computed XRD peak list (Cu Kα (weighted mean of Kα1 and Kα2)), based on a GGA-PBE-relaxed structure.

a b c (Å): 8.6217 9.5109 4.1328
angles (deg): 90.00 90.00 90.00
Space group Cmmm (No. 65)
Unique sites:
1 Na 0.1812 0.0000 0.0000 x4
2 Na 0.2500 0.2500 0.5000 x4
3 Al 0.0000 0.5000 0.5000 x2
4 Au 0.0000 0.3280 0.0000 x4

Largest 8 diffraction maxima, by angle, 10° ≤ 2θ ≤ 90°:
2theta	intensity	index
13.86	75.5	1 1 0
20.60	47.9	2 0 0
21.50	50.4	0 0 1
29.99	100.0	1 3 0
35.52	46.5	2 2 1
37.24	74.1	1 3 1
48.06	29.7	3 3 1
54.03	21.8	1 3 2



NaAl3Au9: computed XRD peak list (Cu Kα (weighted mean of Kα1 and Kα2)), based on a GGA-PBE-relaxed structure.

a b c (Å): 5.5285 13.3521 6.9052
angles (deg): 90.00 110.45 90.00
Space group C2/m (No. 12)
Unique sites:
1 Na 0.0000 0.0000 0.0000 x2
2 Al 0.0000 0.5000 0.5000 x2
3 Al 0.2500 0.2500 0.0000 x4
4 Au 0.0000 0.0000 0.5000 x2
5 Au 0.0815 0.3897 0.2175 x8
6 Au 0.1393 0.1730 0.3194 x8

Largest 8 diffraction maxima, by angle, 10° ≤ 2θ ≤ 90°:
2theta	intensity	index
19.02	58.7	1 1 -1
27.57	70.0	0 0 2
32.44	84.9	2 0 -1
37.91	100.0	1 5 0
38.21	74.8	1 1 2
38.76	90.5	0 4 2
41.85	60.1	2 0 1
42.50	77.7	2 4 -1



Na2Al3Au9: computed XRD peak list (Cu Kα (weighted mean of Kα1 and Kα2)), based on a GGA-PBE-relaxed structure.

a b c (Å): 13.5173 7.8743 10.8012
angles (deg): 90.00 114.56 90.00
Space group C2/c (No. 15)
Unique sites:
1 Na 0.1659 0.0832 0.2503 x8
2 Al 0.0869 0.2398 0.4997 x8
3 Al 0.2500 0.2500 0.0000 x4
4 Au 0.0000 0.3584 0.2500 x4
5 Au 0.0630 0.0874 0.9382 x8
6 Au 0.1096 0.4170 0.0790 x8
7 Au 0.1111 0.3018 0.7490 x8
8 Au 0.2266 0.4195 0.4372 x8

Largest 8 diffraction maxima, by angle, 10° ≤ 2θ ≤ 90°:
2theta	intensity	index
24.50	23.0	3 1 0
29.07	31.8	0 2 2
29.19	57.1	3 1 -3
35.70	100.0	3 1 2
35.79	49.2	3 1 -4
39.74	57.8	3 3 -1
40.02	27.6	6 0 -2
43.97	30.1	3 3 -3